1.
Computed X-ray powder pattern
Compound: RbPtBr5
Radiation: Cu Ka
Structure: a GGA-PBE-relaxed structure
Lines closer than 0.1° are merged.

Top 6 peaks for 2θ from 10° to 90°, low angle first:
14.9 deg, intensity 66.4; 15.6 deg, intensity 100.0; 20.8 deg, intensity 68.1; 21.6 deg, intensity 59.6; 26.3 deg, intensity 83.4; 31.5 deg, intensity 66.6

Cell and atoms:
Cell lengths 7.048, 7.048, 7.048 Å; angles 108.44, 105.47, 114.64 degrees
Fractional positions:
Rb1 0.000 0.000 0.000
Pt1 0.578 0.078 0.500
Br1 0.014 0.322 0.692
Br2 0.260 0.760 0.500
Br3 0.573 0.374 0.801
Br4 0.573 0.772 0.199
Br5 0.630 0.322 0.308



2.
Computed X-ray powder pattern
Compound: SmGa2Au6
Radiation: Cu Ka
Structure: a GGA-PBE-relaxed structure
Lines closer than 0.1° are merged.

Top 6 peaks for 2θ from 10° to 90°, low angle first:
31.7 deg, intensity 100.0; 35.8 deg, intensity 37.7; 36.5 deg, intensity 36.1; 40.2 deg, intensity 67.8; 40.9 deg, intensity 69.4; 66.2 deg, intensity 31.7

Cell and atoms:
Cell lengths 7.316, 7.316, 7.316 Å; angles 151.22, 93.55, 93.53 degrees
Fractional positions:
Sm1 0.000 0.000 0.000
Ga1 0.367 0.000 0.367
Ga2 0.633 0.000 0.633
Au1 0.100 0.359 0.741
Au2 0.272 0.772 0.500
Au3 0.382 0.641 0.741
Au4 0.618 0.359 0.259
Au5 0.728 0.228 0.500
Au6 0.900 0.641 0.259